Record 1
Simulated X-ray powder pattern of Li7Mn4CoO12 for Cu Kα X-rays, from a DFT-relaxed cell (PBE+U, the Materials Project).
Kinematic intensities with the Lorentz-polarization factor, no thermal factor.

```
data_Li7Mn4CoO12
_cell_length_a 5.215
_cell_length_b 6.497
_cell_length_c 12.952
_cell_angle_alpha 82.88
_cell_angle_beta 84.28
_cell_angle_gamma 84.20
_symmetry_space_group_name_H-M 'P -1'
_symmetry_Int_Tables_number 2
_symmetry_space_group_name_Hall '-P 1'
loop_
_atom_site_label
_atom_site_type_symbol
_atom_site_fract_x
_atom_site_fract_y
_atom_site_fract_z
Li1 Li 0.000 0.000 0.250
Li2 Li 0.245 0.239 0.371
Li3 Li 0.255 0.238 0.870
Li4 Li 0.255 0.907 0.542
Li5 Li 0.256 0.582 0.705
Li6 Li 0.261 0.581 0.205
Li7 Li 0.261 0.909 0.041
Mn1 Mn 0.000 0.329 0.085
Mn2 Mn 0.001 0.331 0.585
Mn3 Mn 0.500 0.166 0.667
Mn4 Mn 0.500 0.168 0.166
Co1 Co 0.500 0.500 0.000
Co2 Co 0.500 0.500 0.500
O1 O 0.113 0.616 0.558
O2 O 0.147 0.605 0.053
O3 O 0.153 0.283 0.718
O4 O 0.154 0.283 0.217
O5 O 0.154 0.934 0.392
O6 O 0.154 0.936 0.892
O7 O 0.392 0.218 0.025
O8 O 0.392 0.551 0.858
O9 O 0.395 0.219 0.526
O10 O 0.395 0.886 0.192
O11 O 0.395 0.886 0.693
O12 O 0.396 0.552 0.360
```

Largest 6 diffraction maxima, sorted by position, 2θ from 10° to 90°:
- d = 4.819 Å, rel. 100.0, (0 1 2)
- d = 2.584 Å, rel. 15.1, (2 0 0)
- d = 2.160 Å, rel. 32.6, (-2 1 2)
- d = 2.043 Å, rel. 27.5, (1 3 0)
- d = 2.037 Å, rel. 27.6, (1 0 6)
- d = 1.485 Å, rel. 16.0, (3 2 -2)

***

Record 2
Simulated X-ray powder pattern of Li7Mn4CoO12 for Cu Kα X-rays, from a DFT-relaxed cell (PBE+U, the Materials Project).
Kinematic intensities with the Lorentz-polarization factor, no thermal factor.

```
data_Li7Mn4CoO12
_cell_length_a 5.300
_cell_length_b 5.711
_cell_length_c 7.708
_cell_angle_alpha 78.65
_cell_angle_beta 73.96
_cell_angle_gamma 89.46
_symmetry_space_group_name_H-M 'P -1'
_symmetry_Int_Tables_number 2
_symmetry_space_group_name_Hall '-P 1'
loop_
_atom_site_label
_atom_site_type_symbol
_atom_site_fract_x
_atom_site_fract_y
_atom_site_fract_z
Li1 Li 0.000 0.000 0.000
Li2 Li 0.159 0.917 0.317
Li3 Li 0.169 0.415 0.325
Li4 Li 0.454 0.241 0.016
Mn1 Mn 0.325 0.835 0.675
Mn2 Mn 0.336 0.332 0.672
Co1 Co 0.000 0.500 0.000
O1 O 0.016 0.689 0.182
O2 O 0.072 0.227 0.157
O3 O 0.248 0.126 0.524
O4 O 0.290 0.625 0.501
O5 O 0.425 0.544 0.816
O6 O 0.429 0.051 0.816
```

Largest 6 diffraction maxima, sorted by position, 2θ from 10° to 90°:
- d = 4.853 Å, rel. 100.0, (1 0 1)
- d = 2.626 Å, rel. 16.3, (1 0 -2)
- d = 2.215 Å, rel. 33.6, (2 0 -1)
- d = 2.046 Å, rel. 27.0, (1 2 3)
- d = 2.019 Å, rel. 26.0, (1 -2 2)
- d = 1.492 Å, rel. 15.5, (3 -2 1)

***

Record 3
Simulated X-ray powder pattern of Li7Mn2Co3O12 for Cu Kα X-rays, from a DFT-relaxed cell (PBE+U, the Materials Project).
Kinematic intensities with the Lorentz-polarization factor, no thermal factor.

```
data_Li7Mn2Co3O12
_cell_length_a 5.061
_cell_length_b 8.766
_cell_length_c 5.145
_cell_angle_alpha 90.00
_cell_angle_beta 110.09
_cell_angle_gamma 90.00
_symmetry_space_group_name_H-M 'P 1 2/m 1'
_symmetry_Int_Tables_number 10
_symmetry_space_group_name_Hall '-P 2y'
loop_
_atom_site_label
_atom_site_type_symbol
_atom_site_fract_x
_atom_site_fract_y
_atom_site_fract_z
Li1 Li 0.000 0.000 0.000
Li2 Li 0.000 0.156 0.500
Li3 Li 0.000 0.500 0.500
Li4 Li 0.500 0.000 0.500
Li5 Li 0.500 0.329 0.500
Mn1 Mn 0.000 0.332 0.000
Co1 Co 0.500 0.160 0.000
Co2 Co 0.500 0.500 0.000
O1 O 0.227 0.500 0.230
O2 O 0.240 0.184 0.230
O3 O 0.254 0.340 0.787
O4 O 0.278 0.000 0.761
```

Largest 6 diffraction maxima, sorted by position, 2θ from 10° to 90°:
- d = 4.832 Å, rel. 100.0, (0 0 1)
- d = 2.500 Å, rel. 16.1, (2 0 -1)
- d = 2.489 Å, rel. 24.8, (1 3 0)
- d = 2.091 Å, rel. 29.7, (2 0 -2)
- d = 2.067 Å, rel. 55.8, (1 3 1)
- d = 1.461 Å, rel. 29.9, (3 3 -1)

***

Record 4
Simulated X-ray powder pattern of Li5MnCo2O8 for Cu Kα X-rays, from a DFT-relaxed cell (PBE+U, the Materials Project).
Kinematic intensities with the Lorentz-polarization factor, no thermal factor.

```
data_Li5MnCo2O8
_cell_length_a 2.9167
_cell_length_b 2.9167
_cell_length_c 60.2688
_cell_angle_alpha 90.00
_cell_angle_beta 90.00
_cell_angle_gamma 120.00
_symmetry_space_group_name_H-M 'R -3 m'
_symmetry_Int_Tables_number 166
_symmetry_space_group_name_Hall '-R 3 2"'
loop_
_atom_site_label
_atom_site_type_symbol
_atom_site_fract_x
_atom_site_fract_y
_atom_site_fract_z
Li1 Li 0.0000 0.0000 0.0000
Li2 Li 0.0000 0.0000 0.1229
Li3 Li 0.0000 0.0000 0.3741
Mn1 Mn 0.0000 0.0000 0.5000
Co1 Co 0.0000 0.0000 0.2494
O1 O 0.0000 0.0000 0.0659
O2 O 0.0000 0.0000 0.1848
O3 O 0.0000 0.0000 0.3117
O4 O 0.0000 0.0000 0.4371
```

Largest 6 diffraction maxima, sorted by position, 2θ from 10° to 90°:
- d = 6.697 Å, rel. 14.4, (0 0 9)
- d = 5.022 Å, rel. 100.0, (0 0 12)
- d = 2.491 Å, rel. 38.3, (1 0 4)
- d = 2.098 Å, rel. 94.5, (1 0 16)
- d = 1.510 Å, rel. 26.1, (0 1 32)
- d = 1.458 Å, rel. 24.7, (1 1 0)